Structure and calculated powder diffractogram of TbMnPd (a crystal structure in Alexandria, relaxed with PBE; copper Kα).

Top 10 peaks for 2θ from 10° to 90°, by angle:
2θ/deg  I/Imax
24.3  26
28.5  28
31.0  74
33.4  51
37.9  50
39.8  100
44.4  65
59.8  26
61.4  27
78.9  26

Crystal structure
```
data_TbMnPd
_cell_length_a 4.0765
_cell_length_b 4.0765
_cell_length_c 14.6252
_cell_angle_alpha 90.00
_cell_angle_beta 90.00
_cell_angle_gamma 90.00
_symmetry_space_group_name_H-M 'I 4/m m m'
_symmetry_Int_Tables_number 139
_symmetry_space_group_name_Hall '-I 4 2'
loop_
_atom_site_label
_atom_site_type_symbol
_atom_site_fract_x
_atom_site_fract_y
_atom_site_fract_z
Tb1 Tb 0.0000 0.0000 0.1671
Mn1 Mn 0.0000 0.5000 0.0000
Pd1 Pd 0.0000 0.0000 0.3755
```

=====

Structure and calculated powder diffractogram of MnNi3Rh4 (a crystal structure in Alexandria, relaxed with PBE; copper Kα).

Top 10 peaks for 2θ from 10° to 90°, by angle:
2θ/deg  I/Imax
28.9  12
40.4  39
41.8  22
42.3  44
44.5  100
45.9  24
50.8  15
72.5  15
79.0  18
87.7  18

Crystal structure
```
data_MnNi3Rh4
_cell_length_a 8.5372
_cell_length_b 5.4142
_cell_length_c 4.4657
_cell_angle_alpha 90.00
_cell_angle_beta 90.00
_cell_angle_gamma 90.00
_symmetry_space_group_name_H-M 'P m m a'
_symmetry_Int_Tables_number 51
_symmetry_space_group_name_Hall '-P 2a 2a'
loop_
_atom_site_label
_atom_site_type_symbol
_atom_site_fract_x
_atom_site_fract_y
_atom_site_fract_z
Mn1 Mn 0.0000 0.0000 0.0000
Ni1 Ni 0.0000 0.5000 0.0000
Ni2 Ni 0.2500 0.0000 0.3590
Ni3 Ni 0.2500 0.5000 0.3491
Rh1 Rh 0.0000 0.2507 0.5000
Rh2 Rh 0.2500 0.2531 0.8624
```

=====

Structure and calculated powder diffractogram of Tb2PmTe2 (a crystal structure in Alexandria, relaxed with PBE; copper Kα).

Top 10 peaks for 2θ from 10° to 90°, by angle:
2θ/deg  I/Imax
24.9  74
25.5  26
30.9  73
31.2  24
32.4  75
34.3  30
39.2  24
39.6  100
41.6  22
60.7  23

Crystal structure
```
data_Tb2PmTe2
_cell_length_a 7.2175
_cell_length_b 5.9834
_cell_length_c 7.4102
_cell_angle_alpha 90.00
_cell_angle_beta 104.61
_cell_angle_gamma 90.00
_symmetry_space_group_name_H-M 'C 1 2/m 1'
_symmetry_Int_Tables_number 12
_symmetry_space_group_name_Hall '-C 2y'
loop_
_atom_site_label
_atom_site_type_symbol
_atom_site_fract_x
_atom_site_fract_y
_atom_site_fract_z
Tb1 Tb 0.0000 0.2476 0.0000
Pm1 Pm 0.0000 0.0000 0.5000
Te1 Te 0.1733 0.5000 0.7095
```

=====

Structure and calculated powder diffractogram of Ca2Ac5 (a crystal structure in Alexandria, relaxed with PBE; copper Kα).

Top 10 peaks for 2θ from 10° to 90°, by angle:
2θ/deg  I/Imax
28.2  97
28.4  100
40.4  38
49.7  19
50.1  41
50.2  23
58.7  19
66.0  16
66.3  18
80.8  24

Crystal structure
```
data_Ca2Ac5
_cell_length_a 6.2942
_cell_length_b 6.2942
_cell_length_c 27.2499
_cell_angle_alpha 90.00
_cell_angle_beta 90.00
_cell_angle_gamma 120.00
_symmetry_space_group_name_H-M 'R -3 m'
_symmetry_Int_Tables_number 166
_symmetry_space_group_name_Hall '-R 3 2"'
loop_
_atom_site_label
_atom_site_type_symbol
_atom_site_fract_x
_atom_site_fract_y
_atom_site_fract_z
Ca1 Ca 0.0000 0.0000 0.1487
Ac1 Ac 0.0000 0.0000 0.0000
Ac2 Ac 0.0000 0.0000 0.2931
Ac3 Ac 0.0000 0.0000 0.4298
```

=====

Structure and calculated powder diffractogram of Na4ZnH5 (a crystal structure in Alexandria, relaxed with PBE; copper Kα).

Top 10 peaks for 2θ from 10° to 90°, by angle:
2θ/deg  I/Imax
17.0  22
22.1  21
33.0  100
37.6  18
38.6  37
55.0  23
55.8  12
64.9  13
66.3  23
69.2  11

Crystal structure
```
data_Na4ZnH5
_cell_length_a 7.3728
_cell_length_b 7.3728
_cell_length_c 4.7861
_cell_angle_alpha 90.00
_cell_angle_beta 90.00
_cell_angle_gamma 90.00
_symmetry_space_group_name_H-M 'I 4'
_symmetry_Int_Tables_number 79
_symmetry_space_group_name_Hall 'I 4'
loop_
_atom_site_label
_atom_site_type_symbol
_atom_site_fract_x
_atom_site_fract_y
_atom_site_fract_z
Na1 Na 0.1018 0.2955 0.0000
Zn1 Zn 0.0000 0.0000 0.4869
H1 H 0.0000 0.0000 0.1246
H2 H 0.0913 0.2830 0.5060
```

=====

Structure and calculated powder diffractogram of Pa3Be2Ir5 (a crystal structure in Alexandria, relaxed with PBE; copper Kα).

Top 10 peaks for 2θ from 10° to 90°, by angle:
2θ/deg  I/Imax
31.9  80
35.9  37
38.4  100
38.6  58
41.8  26
42.0  36
49.4  26
63.3  18
64.4  26
66.8  19

Crystal structure
```
data_Pa3Be2Ir5
_cell_length_a 9.6132
_cell_length_b 9.6132
_cell_length_c 3.6929
_cell_angle_alpha 90.00
_cell_angle_beta 90.00
_cell_angle_gamma 90.00
_symmetry_space_group_name_H-M 'P 4/m b m'
_symmetry_Int_Tables_number 127
_symmetry_space_group_name_Hall '-P 4 2ab'
loop_
_atom_site_label
_atom_site_type_symbol
_atom_site_fract_x
_atom_site_fract_y
_atom_site_fract_z
Pa1 Pa 0.0000 0.0000 0.0000
Pa2 Pa 0.1746 0.3254 0.0000
Be1 Be 0.1177 0.6177 0.0000
Ir1 Ir 0.0000 0.5000 0.5000
Ir2 Ir 0.0730 0.7794 0.5000
```

=====

Structure and calculated powder diffractogram of Ca2Zn2PdPt5 (a crystal structure in Alexandria, relaxed with PBE; copper Kα).

Top 10 peaks for 2θ from 10° to 90°, by angle:
2θ/deg  I/Imax
21.0  28
22.8  44
35.3  25
37.9  100
39.2  39
41.4  48
45.8  27
46.6  30
62.5  20
74.9  20

Crystal structure
```
data_Ca2Zn2PdPt5
_cell_length_a 9.4794
_cell_length_b 9.4794
_cell_length_c 3.8983
_cell_angle_alpha 90.00
_cell_angle_beta 90.00
_cell_angle_gamma 90.00
_symmetry_space_group_name_H-M 'P 4/m b m'
_symmetry_Int_Tables_number 127
_symmetry_space_group_name_Hall '-P 4 2ab'
loop_
_atom_site_label
_atom_site_type_symbol
_atom_site_fract_x
_atom_site_fract_y
_atom_site_fract_z
Ca1 Ca 0.1782 0.3218 0.0000
Zn1 Zn 0.1221 0.6221 0.0000
Pd1 Pd 0.0000 0.0000 0.0000
Pt1 Pt 0.0000 0.5000 0.5000
Pt2 Pt 0.0634 0.7941 0.5000
```

=====

Structure and calculated powder diffractogram of HoLuMnFe (a crystal structure in Alexandria, relaxed with PBE; copper Kα).

Top 8 peaks for 2θ from 10° to 90°, by angle:
2θ/deg  I/Imax
26.1  30
37.3  100
46.1  9
53.8  17
60.7  13
67.2  34
79.5  11
85.4  6

Crystal structure
```
data_HoLuMnFe
_cell_length_a 6.8203
_cell_length_b 6.8203
_cell_length_c 6.8203
_cell_angle_alpha 90.00
_cell_angle_beta 90.00
_cell_angle_gamma 90.00
_symmetry_space_group_name_H-M 'F -4 3 m'
_symmetry_Int_Tables_number 216
_symmetry_space_group_name_Hall 'F -4 2 3'
loop_
_atom_site_label
_atom_site_type_symbol
_atom_site_fract_x
_atom_site_fract_y
_atom_site_fract_z
Ho1 Ho 0.0000 0.0000 0.0000
Lu1 Lu 0.0000 0.0000 0.5000
Mn1 Mn 0.2500 0.2500 0.2500
Fe1 Fe 0.2500 0.2500 0.7500
```